The following is a calculated PXRD pattern of CaPm2Mg6. It was derived from DFT lattice parameters and positions (GGA-PBE), using copper Kα.
Peak positions follow from Bragg's law for the DFT cell and can differ from measured ones.

Most intense lines, 10 to 80 degrees two-theta, low angle first:
| hkl | 2theta | I (rel.) |
| --- | --- | --- |
| 1 0 0 | 11.1 | 38.0 |
| 1 1 0 | 19.3 | 71.8 |
| 1 1 1 | 32.7 | 100.0 |
| 3 0 0 | 33.8 | 64.4 |
| 2 2 0 | 39.3 | 11.9 |
| 2 2 1 | 47.8 | 34.1 |
| 4 1 1 | 59.8 | 34.4 |
| 3 0 2 | 65.1 | 18.5 |

Atomic structure:
```
data_CaPm2Mg6
_chemical_formula_sum 'Ca1 Pm2 Mg6'
_symmetry_space_group_name_H-M 'P 6/m m m'
_symmetry_Int_Tables_number 191
_symmetry_space_group_name_Hall '-P 6 2'
_cell_length_a 9.1760
_cell_length_b 9.1760
_cell_length_c 3.4088
_cell_angle_alpha 90.00
_cell_angle_beta 90.00
_cell_angle_gamma 120.00
loop_
_atom_site_label
_atom_site_fract_x
_atom_site_fract_y
_atom_site_fract_z
Ca1 0.0000 0.0000 0.0000
Pm1 0.3333 0.6667 0.0000
Mg1 0.0000 0.3349 0.5000
```